[1]
For Na4Ac3VO8, the GGA+U geometry in Alexandria gives the simulated XRD peak list in this record (a wavelength of 1.5418 Å).
Intensities are scaled so that the largest is 100.

Most intense lines, 2θ = 5–70°, sorted by position:
d (Å)	I/Imax
5.920	17.9
5.693	100.0
3.103	62.6
2.968	23.7
2.956	46.6
2.847	21.7
2.538	86.9
2.315	17.7
1.930	20.1
1.824	21.0
1.767	18.5
1.737	18.4

Cell and atoms:
Unit cell a=7.0726 b=7.0726 c=7.0923 alpha=118.00 beta=118.00 gamma=61.88
Fractional positions:
Na: 0.0000 0.0000 0.0000
Na: 0.0000 0.5000 0.5000
Na: 0.5000 0.0000 0.5000
Na: 0.5000 0.5000 0.0000
Ac: 0.0000 0.0000 0.5000
Ac: 0.0000 0.5000 0.0000
Ac: 0.5000 0.0000 0.0000
V: 0.5000 0.5000 0.5000
O: 0.2414 0.2414 0.7546
O: 0.2447 0.2447 0.2349
O: 0.2830 0.7063 0.2927
O: 0.2937 0.7170 0.7073
O: 0.7063 0.2830 0.2927
O: 0.7170 0.2937 0.7073
O: 0.7553 0.7553 0.7651
O: 0.7586 0.7586 0.2454

***

[2]
For LiCoPO4, the GGA+U geometry in Alexandria gives the simulated XRD peak list in this record (a wavelength of 1.5418 Å).
Intensities are scaled so that the largest is 100.

Most intense lines, 2θ = 5–70°, sorted by position:
d (Å)	I/Imax
7.736	61.3
4.740	39.9
4.506	23.6
4.221	26.8
4.011	73.3
3.870	25.8
3.256	27.3
3.238	100.0
3.144	30.1
2.825	39.6
2.498	24.5
1.965	19.5

Cell and atoms:
Unit cell a=4.9147 b=5.1068 c=7.9768 alpha=80.40 beta=76.92 gamma=68.79
Fractional positions:
Li: 0.2376 0.2572 0.4952
Li: 0.7624 0.7428 0.5048
Co: 0.2532 0.8524 0.8662
Co: 0.7468 0.1476 0.1338
P: 0.3742 0.7641 0.2576
P: 0.6258 0.2359 0.7424
O: 0.1832 0.6559 0.4113
O: 0.1829 0.9314 0.1142
O: 0.3526 0.4653 0.8285
O: 0.4923 0.9765 0.3179
O: 0.5077 0.0235 0.6821
O: 0.6474 0.5347 0.1715
O: 0.8171 0.0686 0.8858
O: 0.8168 0.3441 0.5887